(1)
# BaReO3
Theoretical powder diffraction line list, a wavelength of 1.5418 Å. Input: a PBE-relaxed structure.
Neutral-atom scattering factors, no anomalous dispersion.

Cell and atoms:
Cell: 4.065 4.065 4.065 Å, 90.00 90.00 90.00°
Space group Pm-3m (No. 221)
Asymmetric unit:
Ba (0.000, 0.000, 0.000) (multiplicity 1)
Re (0.500, 0.500, 0.500) (multiplicity 1)
O (0.000, 0.500, 0.500) (multiplicity 3)

Largest 10 diffraction maxima, sorted by position, 15 to 90 degrees two-theta:
| two_theta | I_rel | hkl |
| --- | --- | --- |
| 21.9 | 6 | 1 0 0 |
| 31.1 | 100 | 1 1 0 |
| 44.6 | 27 | 2 0 0 |
| 50.2 | 3 | 2 1 0 |
| 55.4 | 40 | 2 1 1 |
| 64.9 | 17 | 2 2 0 |
| 69.4 | 1 | 3 0 0 |
| 73.7 | 18 | 3 1 0 |
| 82.1 | 6 | 2 2 2 |
| 86.3 | 1 | 3 2 0 |



(2)
# KSO4
Theoretical powder diffraction line list, a wavelength of 1.5418 Å. Input: a PBE-relaxed structure.
Neutral-atom scattering factors, no anomalous dispersion.

Cell and atoms:
Cell: 5.103 5.580 7.610 Å, 76.36 70.64 87.70°
Space group P-1 (No. 2)
Asymmetric unit:
K (0.073, 0.309, 0.260) (multiplicity 2)
S (0.481, 0.217, 0.729) (multiplicity 2)
O (0.217, 0.783, 0.318) (multiplicity 2)
O (0.342, 0.352, 0.875) (multiplicity 2)
O (0.351, 0.982, 0.746) (multiplicity 2)
O (0.427, 0.374, 0.527) (multiplicity 2)

Largest 10 diffraction maxima, sorted by position, 15 to 90 degrees two-theta:
| two_theta | I_rel | hkl |
| --- | --- | --- |
| 18.2 | 19 | 0 1 1 |
| 18.4 | 28 | 1 0 0 |
| 23.3 | 90 | 1 1 1 |
| 25.5 | 100 | 0 0 2 |
| 26.3 | 87 | 1 -1 1 |
| 28.0 | 19 | 1 1 2 |
| 28.5 | 60 | -1 1 1 |
| 33.1 | 28 | 0 2 0 |
| 35.2 | 44 | 2 0 1 |
| 44.1 | 42 | 1 -1 3 |



(3)
# BaLaSb2Se6
Theoretical powder diffraction line list, a wavelength of 1.5418 Å. Input: a PBE-relaxed structure.
Neutral-atom scattering factors, no anomalous dispersion.

Cell and atoms:
Cell: 4.430 15.461 17.102 Å, 90.00 92.81 90.00°
Space group P2_1/c (No. 14)
Asymmetric unit:
Ba (0.239, 0.209, 0.328) (multiplicity 4)
La (0.206, 0.127, 0.593) (multiplicity 4)
Sb (0.204, 0.630, 0.473) (multiplicity 4)
Sb (0.231, 0.527, 0.697) (multiplicity 4)
Se (0.172, 0.532, 0.205) (multiplicity 4)
Se (0.199, 0.087, 0.911) (multiplicity 4)
Se (0.251, 0.171, 0.128) (multiplicity 4)
Se (0.267, 0.707, 0.022) (multiplicity 4)
Se (0.278, 0.674, 0.780) (multiplicity 4)
Se (0.326, 0.013, 0.442) (multiplicity 4)

Largest 10 diffraction maxima, sorted by position, 15 to 90 degrees two-theta:
| two_theta | I_rel | hkl |
| --- | --- | --- |
| 23.3 | 27 | 0 3 3 |
| 25.3 | 29 | 0 4 2 |
| 28.9 | 100 | 1 1 -4 |
| 30.4 | 60 | 1 1 4 |
| 30.6 | 61 | 1 2 -4 |
| 30.8 | 52 | 0 5 2 |
| 32.0 | 66 | 1 2 4 |
| 35.7 | 31 | 1 5 -1 |
| 38.3 | 28 | 1 3 5 |
| 40.8 | 75 | 2 0 0 |



(4)
# Zr3O
Theoretical powder diffraction line list, a wavelength of 1.5418 Å. Input: a PBE-relaxed structure.
Neutral-atom scattering factors, no anomalous dispersion.

Cell and atoms:
Cell: 5.6743 5.6743 15.7008 Å, 90.00 90.00 120.00°
Space group R-3c (No. 167, hexagonal axes)
Asymmetric unit:
Zr (0.0000, 0.3388, 0.2500) (multiplicity 18)
O (0.0000, 0.0000, 0.0000) (multiplicity 6)

Largest 10 diffraction maxima, sorted by position, 15 to 90 degrees two-theta:
| two_theta | I_rel | hkl |
| --- | --- | --- |
| 31.5 | 18 | 1 1 0 |
| 34.3 | 23 | 0 0 6 |
| 36.0 | 100 | 1 1 3 |
| 47.3 | 19 | 1 1 6 |
| 56.2 | 20 | 3 0 0 |
| 62.5 | 19 | 1 1 9 |
| 67.5 | 18 | 3 0 6 |
| 68.5 | 14 | 2 2 3 |
| 76.4 | 4 | 2 2 6 |
| 88.9 | 7 | 2 2 9 |